The following is a simulated XRD peak list of Ba3La3Cu6O14. It was derived from DFT lattice parameters and positions (PBE), using λ = 1.5418 Å (Cu Kα).
No peak broadening, texture or thermal motion is included.

Cell and atoms:
```
Ba3La3Cu6O14
1.0
0.000 3.981 11.796
3.883 0.000 11.796
3.883 3.981 0.000
Ba La Cu O
3 3 6 14
Cartesian
0.000 0.000 0.000
3.883 3.981 4.286
3.883 3.981 16.025
3.883 3.981 8.046
3.883 3.981 11.766
3.883 3.981 19.861
1.941 1.991 2.084
1.941 1.991 6.257
1.941 1.991 9.847
5.824 5.972 13.879
5.824 5.972 18.052
5.824 5.972 21.643
1.941 1.991 0.210
5.829 3.981 6.494
3.883 1.980 6.552
5.789 3.981 9.696
1.941 1.991 3.953
3.883 2.047 9.705
5.531 3.981 13.706
5.824 5.972 12.006
1.936 3.981 6.494
3.883 5.983 6.552
3.883 5.915 9.705
1.976 3.981 9.696
5.824 5.972 15.749
2.235 3.981 13.706
```

Principal peaks in the range 10 to 90 degrees two-theta, in order of rising 2θ:
d [Å], Rel. int.
2.798, 92.2
2.780, 96.4
2.763, 100.0
2.270, 28.3
1.991, 29.6
1.966, 20.8
1.941, 26.7
1.615, 38.9
1.605, 33.9
1.595, 34.7
1.390, 16.6
1.382, 13.4

***

The following is a simulated XRD peak list of Ba4LaPrCu6O14. It was derived from DFT lattice parameters and positions (PBE), using λ = 1.5418 Å (Cu Kα).
No peak broadening, texture or thermal motion is included.

Cell and atoms:
```
Ba4LaPrCu6O14
1.0
3.905 0.000 0.000
0.000 3.978 0.000
0.000 0.000 23.854
Ba La Pr Cu O
4 1 1 6 14
Cartesian
0.000 0.000 3.828
0.000 0.000 8.094
0.000 0.000 15.760
0.000 0.000 20.026
0.000 0.000 11.927
0.000 0.000 0.000
1.953 1.989 1.847
1.953 1.989 5.963
1.953 1.989 10.064
1.953 1.989 13.790
1.953 1.989 17.891
1.953 1.989 22.007
0.000 1.989 1.539
0.000 1.989 10.367
0.000 1.989 13.487
0.000 1.989 22.315
1.953 0.000 1.562
1.953 0.000 5.961
1.953 0.000 10.342
1.953 0.000 13.512
1.953 0.000 17.893
1.953 0.000 22.292
1.953 1.989 4.081
1.953 1.989 7.843
1.953 1.989 16.011
1.953 1.989 19.773
```

Principal peaks in the range 10 to 90 degrees two-theta, in order of rising 2θ:
d [Å], Rel. int.
3.977, 10.1
2.812, 47.2
2.786, 100.0
2.282, 14.4
1.988, 25.8
1.953, 13.7
1.619, 38.8
1.604, 17.5
1.393, 15.6
1.255, 7.3
1.237, 7.9
1.141, 8.1

***

The following is a simulated XRD peak list of Ba2La4CuPtO10. It was derived from DFT lattice parameters and positions (PBE), using λ = 1.5418 Å (Cu Kα).
No peak broadening, texture or thermal motion is included.

Cell and atoms:
```
Ba2La4CuPtO10
1.0
4.884 -4.909 0.000
4.884 4.909 0.000
0.000 0.000 5.951
Ba La Cu Pt O
2 4 1 1 10
Cartesian
2.442 2.455 0.000
2.442 -2.455 0.000
4.884 3.156 2.976
3.182 0.000 2.976
6.586 0.000 2.976
4.884 -3.156 2.976
4.884 0.000 0.000
0.000 0.000 0.000
2.442 2.455 2.976
1.390 0.000 1.473
1.390 0.000 4.478
4.884 1.345 1.440
4.884 1.345 4.512
2.442 -2.455 2.976
4.884 -1.345 1.440
4.884 -1.345 4.512
8.379 0.000 1.473
8.379 0.000 4.478
```

Principal peaks in the range 10 to 90 degrees two-theta, in order of rising 2θ:
d [Å], Rel. int.
3.091, 13.1
2.993, 100.0
2.976, 34.4
2.752, 31.8
2.743, 8.7
2.455, 12.9
2.442, 11.9
2.144, 21.7
1.894, 11.6
1.888, 10.6
1.721, 20.1
1.662, 10.8

***

The following is a simulated XRD peak list of BaLaCuRuO6. It was derived from DFT lattice parameters and positions (PBE), using λ = 1.5418 Å (Cu Kα).
No peak broadening, texture or thermal motion is included.

Cell and atoms:
```
BaLaCuRuO6
1.0
-2.757 2.757 4.302
2.757 -2.757 4.302
2.757 2.757 -4.302
Ba La Cu Ru O
1 1 1 1 6
Cartesian
0.000 0.000 0.000
0.000 0.000 4.302
0.000 2.757 2.151
2.757 0.000 2.151
2.757 0.000 0.154
1.646 1.680 -1.922
1.111 1.078 2.379
2.757 0.000 4.148
3.835 1.646 1.922
-1.078 1.111 6.224
```

Principal peaks in the range 10 to 90 degrees two-theta, in order of rising 2θ:
d [Å], Rel. int.
2.889, 100.0
2.757, 48.4
2.321, 10.4
2.151, 17.9
1.950, 25.5
1.696, 23.3
1.616, 39.1
1.445, 17.5
1.346, 10.1
1.233, 8.8
1.161, 7.9
1.108, 11.7

***

The following is a simulated XRD peak list of Ba2Sr2La2Cu6O13. It was derived from DFT lattice parameters and positions (PBE), using λ = 1.5418 Å (Cu Kα).
No peak broadening, texture or thermal motion is included.

Cell and atoms:
```
Ba2Sr2La2Cu6O13
1.0
0.000 3.971 11.850
3.884 0.000 11.850
3.884 3.971 0.000
Ba Sr La Cu O
2 2 2 6 13
Cartesian
5.879 3.971 11.850
1.889 3.971 11.850
5.856 3.971 7.359
1.912 3.971 7.359
5.827 3.971 15.613
1.941 3.971 15.613
3.884 1.904 9.591
3.884 1.996 13.842
3.884 1.974 17.429
3.884 6.037 9.591
3.884 5.945 13.842
3.884 5.967 17.429
3.884 3.971 2.158
1.942 1.985 2.201
3.884 2.233 7.803
3.884 3.971 5.338
1.942 1.985 5.363
3.884 2.150 11.405
3.884 5.708 7.803
3.884 3.971 14.059
5.826 5.956 14.051
3.884 5.792 11.405
5.826 5.956 17.213
3.884 3.971 17.298
3.884 3.971 21.318
```

Principal peaks in the range 10 to 90 degrees two-theta, in order of rising 2θ:
d [Å], Rel. int.
2.800, 47.8
2.773, 100.0
2.272, 10.7
1.985, 15.0
1.975, 9.2
1.942, 14.2
1.614, 19.3
1.609, 15.0
1.596, 17.3
1.388, 9.3
1.385, 6.2
1.231, 7.6

***

The following is a simulated XRD peak list of BaLaTiCuO6. It was derived from DFT lattice parameters and positions (PBE), using λ = 1.5418 Å (Cu Kα).
No peak broadening, texture or thermal motion is included.

Cell and atoms:
```
BaLaTiCuO6
1.0
5.614 0.000 0.000
0.000 3.957 0.000
0.000 0.000 22.266
Ba La Ti Cu O
4 4 4 4 24
Cartesian
1.404 0.000 1.425
1.404 0.000 17.941
4.211 0.000 4.325
4.211 0.000 20.841
1.404 0.000 7.104
1.404 0.000 12.503
4.211 0.000 9.763
4.211 0.000 15.162
1.404 1.979 4.280
1.404 1.979 20.833
4.211 1.979 1.433
4.211 1.979 17.986
1.404 1.979 9.774
1.404 1.979 15.205
4.211 1.979 7.061
4.211 1.979 12.492
0.000 1.979 0.000
0.000 1.979 11.133
0.005 1.979 13.839
0.008 1.979 19.402
0.081 1.979 5.720
1.404 0.000 4.318
1.404 0.000 9.724
1.404 0.000 15.071
1.404 0.000 20.838
2.726 1.979 5.720
2.802 1.979 13.839
2.799 1.979 19.402
2.807 1.979 0.000
2.807 1.979 11.133
2.815 1.979 2.864
2.813 1.979 8.427
2.888 1.979 16.546
4.211 0.000 1.428
4.211 0.000 7.194
4.211 0.000 12.542
4.211 0.000 17.948
5.533 1.979 16.546
5.606 1.979 2.864
5.609 1.979 8.427
```

Principal peaks in the range 10 to 90 degrees two-theta, in order of rising 2θ:
d [Å], Rel. int.
3.954, 19.0
2.807, 25.6
2.797, 100.0
2.783, 23.9
2.290, 14.3
2.277, 13.1
1.977, 48.6
1.618, 29.2
1.613, 9.3
1.609, 17.4
1.398, 18.7
1.251, 15.6